Diffraction record for NdMg2ZnAg2. The X-ray powder pattern is calculated, not measured: it uses DFT lattice parameters and positions (GGA-PBE) and λ = 1.5418 Å (Cu Kα).
Neutral-atom scattering factors, no anomalous dispersion.

```
data_NdMg2ZnAg2
_chemical_formula_sum 'Nd2 Mg4 Zn2 Ag4'
_cell_length_a 5.2087
_cell_length_b 5.2087
_cell_length_c 11.2138
_cell_angle_alpha 90.00
_cell_angle_beta 90.00
_cell_angle_gamma 90.00
_space_group_name_H-M_alt 'P 1'
_space_group_IT_number 1
_space_group_name_Hall 'P 1'
loop_
_atom_site_label
_atom_site_type_symbol
_atom_site_fract_x
_atom_site_fract_y
_atom_site_fract_z
Nd1 Nd 0.0000 0.0000 0.0000
Nd2 Nd 0.5000 0.5000 0.5000
Mg1 Mg 0.0000 0.5000 0.2500
Mg2 Mg 0.0000 0.5000 0.7500
Mg3 Mg 0.5000 0.0000 0.2500
Mg4 Mg 0.5000 0.0000 0.7500
Zn1 Zn 0.0000 0.0000 0.5000
Zn2 Zn 0.5000 0.5000 0.0000
Ag1 Ag 0.0000 0.0000 0.2785
Ag2 Ag 0.0000 0.0000 0.7215
Ag3 Ag 0.5000 0.5000 0.2215
Ag4 Ag 0.5000 0.5000 0.7785
```

Largest 10 diffraction maxima, by intensity, 2θ = 15–90°:
d 3.683, intensity 100; d 2.604, intensity 64; d 1.908, intensity 40; d 2.231, intensity 38; d 2.803, intensity 31; d 3.037, intensity 28; d 1.842, intensity 22; d 1.647, intensity 19; d 1.539, intensity 19; d 1.420, intensity 17


Diffraction record for MgNi2Ag. The X-ray powder pattern is calculated, not measured: it uses DFT lattice parameters and positions (GGA-PBE) and λ = 1.5418 Å (Cu Kα).
Neutral-atom scattering factors, no anomalous dispersion.

```
data_MgNi2Ag
_chemical_formula_sum 'Mg4 Ni8 Ag4'
_cell_length_a 6.0841
_cell_length_b 6.0841
_cell_length_c 6.0841
_cell_angle_alpha 90.00
_cell_angle_beta 90.00
_cell_angle_gamma 90.00
_space_group_name_H-M_alt 'P 1'
_space_group_IT_number 1
_space_group_name_Hall 'P 1'
loop_
_atom_site_label
_atom_site_type_symbol
_atom_site_fract_x
_atom_site_fract_y
_atom_site_fract_z
Mg1 Mg 0.0000 0.0000 0.0000
Mg2 Mg 0.0000 0.5000 0.5000
Mg3 Mg 0.5000 0.0000 0.5000
Mg4 Mg 0.5000 0.5000 0.0000
Ni1 Ni 0.0000 0.0000 0.5000
Ni2 Ni 0.0000 0.5000 0.0000
Ni3 Ni 0.2500 0.2500 0.2500
Ni4 Ni 0.2500 0.7500 0.7500
Ni5 Ni 0.5000 0.0000 0.0000
Ni6 Ni 0.5000 0.5000 0.5000
Ni7 Ni 0.7500 0.2500 0.7500
Ni8 Ni 0.7500 0.7500 0.2500
Ag1 Ag 0.2500 0.2500 0.7500
Ag2 Ag 0.2500 0.7500 0.2500
Ag3 Ag 0.7500 0.2500 0.2500
Ag4 Ag 0.7500 0.7500 0.7500
```

Largest 10 diffraction maxima, by intensity, 2θ = 15–90°:
d 2.151, intensity 100; d 1.242, intensity 30; d 1.521, intensity 16; d 3.042, intensity 14; d 3.513, intensity 14; d 1.834, intensity 6; d 1.360, intensity 4; d 1.756, intensity 4; d 1.396, intensity 2; d 1.171, intensity 2


Diffraction record for Mg6NiAg5. The X-ray powder pattern is calculated, not measured: it uses DFT lattice parameters and positions (GGA-PBE) and λ = 1.5418 Å (Cu Kα).
Neutral-atom scattering factors, no anomalous dispersion.

```
data_Mg6NiAg5
_chemical_formula_sum 'Mg6 Ni1 Ag5'
_cell_length_a 8.0205
_cell_length_b 8.0205
_cell_length_c 8.0205
_cell_angle_alpha 146.51
_cell_angle_beta 130.42
_cell_angle_gamma 61.16
_space_group_name_H-M_alt 'P 1'
_space_group_IT_number 1
_space_group_name_Hall 'P 1'
loop_
_atom_site_label
_atom_site_type_symbol
_atom_site_fract_x
_atom_site_fract_y
_atom_site_fract_z
Mg1 Mg 0.0805 0.3401 0.7404
Mg2 Mg 0.2317 0.0000 0.2317
Mg3 Mg 0.4003 0.6599 0.7404
Mg4 Mg 0.5997 0.3401 0.2596
Mg5 Mg 0.7683 0.0000 0.7683
Mg6 Mg 0.9195 0.6599 0.2596
Ni1 Ni 0.0000 0.5000 0.5000
Ag1 Ag 0.1723 0.1723 0.0000
Ag2 Ag 0.3337 0.8337 0.5000
Ag3 Ag 0.5000 0.5000 0.0000
Ag4 Ag 0.6663 0.1663 0.5000
Ag5 Ag 0.8277 0.8277 0.0000
```

Largest 10 diffraction maxima, by intensity, 2θ = 15–90°:
d 2.341, intensity 100; d 3.261, intensity 46; d 3.363, intensity 25; d 2.311, intensity 24; d 2.302, intensity 23; d 1.340, intensity 15; d 1.631, intensity 15; d 1.336, intensity 15; d 1.905, intensity 10; d 1.171, intensity 10


Diffraction record for Mg2NpAg3S6. The X-ray powder pattern is calculated, not measured: it uses DFT lattice parameters and positions (GGA-PBE) and λ = 1.5418 Å (Cu Kα).
Neutral-atom scattering factors, no anomalous dispersion.

```
data_Mg2NpAg3S6
_chemical_formula_sum 'Mg2 Np1 Ag3 S6'
_cell_length_a 6.6218
_cell_length_b 6.6218
_cell_length_c 6.5089
_cell_angle_alpha 97.36
_cell_angle_beta 97.36
_cell_angle_gamma 119.81
_space_group_name_H-M_alt 'P 1'
_space_group_IT_number 1
_space_group_name_Hall 'P 1'
loop_
_atom_site_label
_atom_site_type_symbol
_atom_site_fract_x
_atom_site_fract_y
_atom_site_fract_z
Mg1 Mg 0.1705 0.8295 0.0000
Mg2 Mg 0.8295 0.1705 0.0000
Np1 Np 0.5000 0.5000 0.0000
Ag1 Ag 0.0000 0.0000 0.5000
Ag2 Ag 0.3584 0.6416 0.5000
Ag3 Ag 0.6416 0.3584 0.5000
S1 S 0.1085 0.4449 0.7687
S2 S 0.2152 0.2152 0.2194
S3 S 0.4449 0.1085 0.7687
S4 S 0.5551 0.8915 0.2313
S5 S 0.7848 0.7848 0.7806
S6 S 0.8915 0.5551 0.2313
```

Largest 10 diffraction maxima, by intensity, 2θ = 15–90°:
d 2.765, intensity 100; d 2.605, intensity 54; d 5.601, intensity 42; d 1.910, intensity 41; d 3.080, intensity 30; d 5.729, intensity 29; d 1.883, intensity 28; d 3.210, intensity 20; d 3.147, intensity 18; d 2.006, intensity 17